Entry 1:
# MgSBr
Theoretical X-ray powder pattern, a wavelength of 1.5418 Å. Input: a DFT-relaxed cell (GGA-PBE, Alexandria).

Top 8 peaks for 2θ from 10° to 90°, sorted by position:
d [Å]  I/Imax
5.749  27
3.563  30
3.412  22
3.154  37
2.874  100
2.751  66
2.102  34
1.890  24

Cell and atoms:
Cell: 7.580 6.685 8.349 Å, 59.33 49.34 71.34°
Element x y z (fractional)
Mg 0.006 0.494 0.031
Mg 0.219 0.781 0.244
Mg 0.494 0.006 0.469
Mg 0.781 0.219 0.756
S 0.147 0.889 0.949
S 0.235 0.301 0.361
S 0.301 0.235 0.103
S 0.889 0.147 0.015
Br 0.267 0.681 0.571
Br 0.679 0.769 0.983
Br 0.681 0.267 0.481
Br 0.769 0.679 0.569

---

Entry 2:
# NbAlZnAu
Theoretical X-ray powder pattern, a wavelength of 1.5418 Å. Input: a DFT-relaxed cell (GGA-PBE, Alexandria).

Top 8 peaks for 2θ from 10° to 90°, sorted by position:
d [Å]  I/Imax
4.197  15
3.798  22
2.936  23
2.323  100
2.099  18
2.055  17
1.251  14
1.162  22

Cell and atoms:
Cell: 3.798 4.109 4.197 Å, 90.00 90.00 90.00°
Element x y z (fractional)
Nb 0.000 0.000 0.000
Al 0.500 0.500 0.000
Zn 0.500 0.000 0.500
Au 0.000 0.500 0.500

---

Entry 3:
# NaLiAcEu
Theoretical X-ray powder pattern, a wavelength of 1.5418 Å. Input: a DFT-relaxed cell (GGA-PBE, Alexandria).

Top 8 peaks for 2θ from 10° to 90°, sorted by position:
d [Å]  I/Imax
4.200  85
2.970  100
2.425  28
2.100  19
1.878  40
1.715  41
1.400  19
1.123  21

Cell and atoms:
Cell: 5.940 5.940 5.940 Å, 60.00 60.00 60.00°
Element x y z (fractional)
Na 0.000 0.000 0.000
Li 0.500 0.500 0.500
Ac 0.750 0.750 0.750
Eu 0.250 0.250 0.250

---

Entry 4:
# K3Os
Theoretical X-ray powder pattern, a wavelength of 1.5418 Å. Input: a DFT-relaxed cell (GGA-PBE, Alexandria).

Top 8 peaks for 2θ from 10° to 90°, sorted by position:
d [Å]  I/Imax
4.775  71
4.152  26
2.936  51
2.918  100
2.501  29
2.076  18
1.692  38
1.681  18

Cell and atoms:
Cell: 5.836 5.836 5.836 Å, 119.60 119.60 90.70°
Element x y z (fractional)
K 0.000 0.000 0.000
K 0.250 0.750 0.500
K 0.750 0.250 0.500
Os 0.500 0.500 0.000

---

Entry 5:
# YSn3S6
Theoretical X-ray powder pattern, a wavelength of 1.5418 Å. Input: a DFT-relaxed cell (GGA-PBE, Alexandria).

Top 8 peaks for 2θ from 10° to 90°, sorted by position:
d [Å]  I/Imax
6.087  61
4.085  67
3.303  88
3.263  45
3.190  67
2.685  100
2.073  47
1.933  47

Cell and atoms:
Cell: 11.325 3.865 12.294 Å, 90.00 114.54 90.00°
Element x y z (fractional)
Y 0.214 0.250 0.061
Y 0.786 0.750 0.939
Sn 0.041 0.750 0.259
Sn 0.348 0.250 0.480
Sn 0.381 0.750 0.844
Sn 0.619 0.250 0.156
Sn 0.652 0.750 0.520
Sn 0.959 0.250 0.741
S 0.025 0.750 0.913
S 0.089 0.250 0.412
S 0.213 0.250 0.821
S 0.252 0.750 0.238
S 0.393 0.750 0.634
S 0.407 0.750 0.071
S 0.593 0.250 0.929
S 0.607 0.250 0.366
S 0.748 0.250 0.762
S 0.787 0.750 0.179
S 0.911 0.750 0.588
S 0.975 0.250 0.087

---

Entry 6:
# MgTlBiCl6
Theoretical X-ray powder pattern, a wavelength of 1.5418 Å. Input: a DFT-relaxed cell (GGA-PBE, Alexandria).

Top 8 peaks for 2θ from 10° to 90°, sorted by position:
d [Å]  I/Imax
5.497  28
4.554  100
3.691  15
3.447  26
2.749  25
2.463  56
2.149  28
1.990  19

Cell and atoms:
Cell: 6.894 6.894 14.084 Å, 90.00 90.00 120.00°
Element x y z (fractional)
Mg 0.333 0.667 0.250
Mg 0.667 0.333 0.750
Tl 0.000 0.000 0.000
Tl 0.000 0.000 0.500
Bi 0.333 0.667 0.750
Bi 0.667 0.333 0.250
Cl 0.022 0.382 0.144
Cl 0.022 0.640 0.356
Cl 0.360 0.382 0.356
Cl 0.360 0.978 0.144
Cl 0.382 0.022 0.644
Cl 0.382 0.360 0.856
Cl 0.618 0.640 0.144
Cl 0.618 0.978 0.356
Cl 0.640 0.022 0.856
Cl 0.640 0.618 0.644
Cl 0.978 0.360 0.644
Cl 0.978 0.618 0.856

---

Entry 7:
# HfVRu
Theoretical X-ray powder pattern, a wavelength of 1.5418 Å. Input: a DFT-relaxed cell (GGA-PBE, Alexandria).

Top 8 peaks for 2θ from 10° to 90°, sorted by position:
d [Å]  I/Imax
4.930  15
2.978  27
2.264  100
2.209  47
1.644  16
1.562  16
1.319  20
1.286  32

Cell and atoms:
Cell: 5.402 5.402 5.402 Å, 146.39 146.39 48.27°
Element x y z (fractional)
Hf 0.000 0.000 0.000
V 0.680 0.680 0.000
Ru 0.326 0.326 0.000

---

Entry 8:
# LaTi2TlAu
Theoretical X-ray powder pattern, a wavelength of 1.5418 Å. Input: a DFT-relaxed cell (GGA-PBE, Alexandria).

Top 8 peaks for 2θ from 10° to 90°, sorted by position:
d [Å]  I/Imax
5.267  78
3.724  100
3.028  34
2.633  85
2.601  41
2.133  46
1.851  60
1.514  31

Cell and atoms:
Cell: 5.267 5.267 5.202 Å, 90.00 90.00 90.00°
Element x y z (fractional)
La 0.000 0.000 0.000
Ti 0.000 0.500 0.500
Ti 0.500 0.000 0.500
Tl 0.500 0.500 0.500
Au 0.500 0.500 0.000